No. 1
Zn3Cu5Au3: calculated powder X-ray diffraction pattern (Cu Kα), based on a GGA-PBE-relaxed structure.

The 6 most intense peaks (2θ = 10–90°), sorted by position:
two_theta  Rel. int.  h k l
30.84  63  2 2 0
39.47  59  3 1 0
40.85  44  2 0 -2
41.31  100  0 4 1
43.66  33  2 2 1
44.69  52  3 3 -1

Cell and atoms:
Lattice parameters (Å, degrees): 7.6584 10.2982 4.5105 90.00 113.63 90.00
Space group Cm (No. 8)
Inequivalent atoms, fractional coordinates:
Zn: 0.0000 0.0000 0.0000
Zn: 0.1878 0.3622 0.6105
Cu: 0.1941 0.5000 0.0999
Cu: 0.3604 0.1350 0.7153
Cu: 0.4925 0.3692 0.4884
Au: 0.1709 0.2322 0.0985
Au: 0.3880 0.0000 0.2338



No. 2
Zn2Cu5Au: calculated powder X-ray diffraction pattern (Cu Kα), based on a GGA-PBE-relaxed structure.

The 6 most intense peaks (2θ = 10–90°), sorted by position:
two_theta  Rel. int.  h k l
14.20  33  0 1 1
39.62  41  1 1 2
41.10  100  1 2 1
43.27  98  0 2 4
43.45  52  1 0 3
44.68  40  0 4 0

Cell and atoms:
Lattice parameters (Å, degrees): 2.7109 8.1128 9.7599 90.00 90.00 90.00
Space group Immm (No. 71)
Inequivalent atoms, fractional coordinates:
Zn: 0.0000 0.0000 0.2467
Cu: 0.0000 0.0000 0.5000
Cu: 0.0000 0.2741 0.1303
Au: 0.0000 0.5000 0.5000



No. 3
Zn3Cu2Au8: calculated powder X-ray diffraction pattern (Cu Kα), based on a GGA-PBE-relaxed structure.

The 6 most intense peaks (2θ = 10–90°), sorted by position:
two_theta  Rel. int.  h k l
27.64  100  1 1 1
31.69  36  2 0 -2
39.39  50  0 2 0
39.59  48  2 0 2
42.46  80  1 1 -3
42.62  79  3 1 -1

Cell and atoms:
Lattice parameters (Å, degrees): 7.2359 4.5754 7.2726 90.00 102.24 90.00
Space group P2/m (No. 10)
Inequivalent atoms, fractional coordinates:
Zn: 0.0000 0.0000 0.0000
Zn: 0.2549 0.5000 0.2553
Cu: 0.2464 0.0000 0.7538
Au: 0.1298 0.5000 0.8733
Au: 0.1326 0.0000 0.3853
Au: 0.3730 0.5000 0.6264
Au: 0.3846 0.0000 0.1316



No. 4
Zn5Cu3Au3: calculated powder X-ray diffraction pattern (Cu Kα), based on a GGA-PBE-relaxed structure.

The 6 most intense peaks (2θ = 10–90°), sorted by position:
two_theta  Rel. int.  h k l
20.02  45  1 1 0
23.15  50  2 0 0
39.25  77  1 1 1
41.03  52  2 0 1
42.42  100  3 1 0
46.06  38  2 1 1

Cell and atoms:
Lattice parameters (Å, degrees): 8.8721 8.8721 2.6828 90.00 90.00 120.00
Space group P-62m (No. 189)
Inequivalent atoms, fractional coordinates:
Zn: 0.0000 0.6805 0.0000
Zn: 0.3333 0.6667 0.0000
Cu: 0.0000 0.1607 0.0000
Au: 0.0000 0.4223 0.5000



No. 5
ZnCu8Au3: calculated powder X-ray diffraction pattern (Cu Kα), based on a GGA-PBE-relaxed structure.

The 6 most intense peaks (2θ = 10–90°), sorted by position:
two_theta  Rel. int.  h k l
27.67  99  1 1 2
31.52  28  2 1 1
37.96  62  2 2 0
41.05  31  0 0 4
47.62  100  3 1 2
57.14  29  2 2 4

Cell and atoms:
Lattice parameters (Å, degrees): 6.7044 6.7044 8.7955 90.00 90.00 90.00
Space group I-42m (No. 121)
Inequivalent atoms, fractional coordinates:
Zn: 0.0000 0.0000 0.0000
Cu: 0.1332 0.1332 0.2272
Cu: 0.2382 0.2382 0.9597
Au: 0.0000 0.0000 0.5000
Au: 0.0000 0.5000 0.2500



No. 6
Zn8CuAu3: calculated powder X-ray diffraction pattern (Cu Kα), based on a GGA-PBE-relaxed structure.

The 6 most intense peaks (2θ = 10–90°), sorted by position:
two_theta  Rel. int.  h k l
23.60  44  0 2 2
31.05  72  2 0 2
40.94  36  0 4 0
42.57  55  0 2 6
43.27  100  2 2 4
52.26  34  2 4 2

Cell and atoms:
Lattice parameters (Å, degrees): 6.2750 8.8171 14.5402 90.00 90.00 90.00
Space group Fmmm (No. 69)
Inequivalent atoms, fractional coordinates:
Zn: 0.0000 0.2440 0.0951
Zn: 0.2383 0.0000 0.1478
Cu: 0.0000 0.0000 0.0000
Au: 0.0000 0.0000 0.5000
Au: 0.2500 0.2500 0.2500



No. 7
ZnCu2Au3: calculated powder X-ray diffraction pattern (Cu Kα), based on a GGA-PBE-relaxed structure.

The 6 most intense peaks (2θ = 10–90°), sorted by position:
two_theta  Rel. int.  h k l
26.12  17  0 0 2
29.63  25  1 3 0
39.91  100  1 3 2
42.30  21  2 0 0
42.50  21  0 6 0
75.74  15  3 3 2

Cell and atoms:
Lattice parameters (Å, degrees): 4.2730 12.7633 6.8229 90.00 90.00 90.00
Space group Cmmm (No. 65)
Inequivalent atoms, fractional coordinates:
Zn: 0.0000 0.1613 0.0000
Cu: 0.0000 0.1694 0.5000
Cu: 0.0000 0.5000 0.0000
Cu: 0.0000 0.5000 0.5000
Au: 0.0000 0.0000 0.2593
Au: 0.0000 0.3335 0.2499



No. 8
ZnCuAu6: calculated powder X-ray diffraction pattern (Cu Kα), based on a GGA-PBE-relaxed structure.

The 6 most intense peaks (2θ = 10–90°), sorted by position:
two_theta  Rel. int.  h k l
24.24  51  2 0 0
35.05  58  0 2 1
37.94  80  2 0 -3
40.42  74  2 0 2
40.60  94  2 2 -1
41.52  100  0 2 2

Cell and atoms:
Lattice parameters (Å, degrees): 7.7450 5.4843 7.5353 90.00 108.53 90.00
Space group C2/m (No. 12)
Inequivalent atoms, fractional coordinates:
Zn: 0.0000 0.0000 0.0000
Cu: 0.0000 0.5000 0.5000
Au: 0.1499 0.0000 0.4392
Au: 0.1858 0.2490 0.8039